[1]
# NaPuTl3
Computed PXRD pattern, Cu Kα (weighted mean of Kα1 and Kα2). Input: a structure optimized by DFT (GGA-PBE).

Structure:
Cell: 5.0567 6.8399 8.8575 Å, 90.00 90.00 90.00°
Fractional coordinates of all 10 atoms:
Na (0.2500, 0.2500, 0.0474)
Na (0.7500, 0.7500, 0.9526)
Pu (0.2500, 0.7500, 0.3636)
Pu (0.7500, 0.2500, 0.6364)
Tl (0.2500, 0.2500, 0.4092)
Tl (0.2500, 0.5176, 0.7494)
Tl (0.2500, 0.9824, 0.7494)
Tl (0.7500, 0.0176, 0.2506)
Tl (0.7500, 0.4824, 0.2506)
Tl (0.7500, 0.7500, 0.5908)

Peak list (6 most intense, 15 to 90 degrees two-theta, by angle)
2θ (°), I/Imax
26.76, 29
33.09, 23
33.20, 100
35.20, 51
35.51, 33
37.69, 29


[2]
# SrAcSn4
Computed PXRD pattern, Cu Kα (weighted mean of Kα1 and Kα2). Input: a structure optimized by DFT (GGA-PBE).

Structure:
Cell: 6.4083 6.4083 6.4083 Å, 60.00 60.00 60.00°
Fractional coordinates of all 6 atoms:
Sr (0.0000, 0.0000, 0.0000)
Ac (0.2500, 0.2500, 0.2500)
Sn (0.1255, 0.6248, 0.6248)
Sn (0.6248, 0.1255, 0.6248)
Sn (0.6248, 0.6248, 0.1255)
Sn (0.6248, 0.6248, 0.6248)

Peak list (6 most intense, 15 to 90 degrees two-theta, by angle)
2θ (°), I/Imax
27.84, 33
32.77, 100
34.28, 34
52.46, 36
57.53, 30
81.60, 24


[3]
# Hf6AsP3
Computed PXRD pattern, Cu Kα (weighted mean of Kα1 and Kα2). Input: a structure optimized by DFT (GGA-PBE).

Structure:
Cell: 7.8529 7.8529 6.5868 Å, 90.00 90.00 105.01°
Fractional coordinates of all 20 atoms:
Hf (0.0088, 0.9912, 0.5000)
Hf (0.0840, 0.5413, 0.5078)
Hf (0.2435, 0.7565, 0.1427)
Hf (0.2896, 0.3758, 0.0819)
Hf (0.3758, 0.2896, 0.5819)
Hf (0.4587, 0.9160, 0.5078)
Hf (0.5413, 0.0840, 0.0078)
Hf (0.6242, 0.7104, 0.0819)
Hf (0.7104, 0.6242, 0.5819)
Hf (0.7565, 0.2435, 0.6427)
Hf (0.9160, 0.4587, 0.0078)
Hf (0.9912, 0.0088, 0.0000)
As (0.1751, 0.8249, 0.7647)
As (0.8249, 0.1751, 0.2647)
P (0.0863, 0.2846, 0.7623)
P (0.2846, 0.0863, 0.2623)
P (0.4143, 0.5857, 0.3904)
P (0.5857, 0.4143, 0.8904)
P (0.7154, 0.9137, 0.7623)
P (0.9137, 0.7154, 0.2623)

Peak list (6 most intense, 15 to 90 degrees two-theta, by angle)
2θ (°), I/Imax
27.08, 59
28.66, 50
28.92, 52
36.11, 72
38.12, 100
39.82, 52


[4]
# Li3Cu
Computed PXRD pattern, Cu Kα (weighted mean of Kα1 and Kα2). Input: a structure optimized by DFT (GGA-PBE).

Structure:
Cell: 4.9635 4.9635 4.9635 Å, 90.00 90.00 90.00°
Fractional coordinates of all 8 atoms:
Li (0.0000, 0.2500, 0.5000)
Li (0.0000, 0.7500, 0.5000)
Li (0.2500, 0.5000, 0.0000)
Li (0.5000, 0.0000, 0.2500)
Li (0.5000, 0.0000, 0.7500)
Li (0.7500, 0.5000, 0.0000)
Cu (0.0000, 0.0000, 0.0000)
Cu (0.5000, 0.5000, 0.5000)

Peak list (6 most intense, 15 to 90 degrees two-theta, by angle)
2θ (°), I/Imax
25.38, 100
36.19, 26
44.72, 57
52.12, 13
58.83, 17
71.06, 26


[5]
# CsTaSiS6
Computed PXRD pattern, Cu Kα (weighted mean of Kα1 and Kα2). Input: a structure optimized by DFT (GGA-PBE).

Structure:
Cell: 6.3897 6.5674 7.7294 Å, 102.16 93.54 118.23°
Fractional coordinates of all 9 atoms:
Cs (0.0000, 0.0000, 0.0000)
Ta (0.3355, 0.6363, 0.5417)
Si (0.7553, 0.3176, 0.5060)
S (0.0304, 0.3029, 0.6547)
S (0.4500, 0.9340, 0.7866)
S (0.4497, 0.9478, 0.3495)
S (0.5758, 0.4692, 0.6611)
S (0.6034, 0.7284, 0.3213)
S (0.9495, 0.4994, 0.3234)

Peak list (6 most intense, 15 to 90 degrees two-theta, by angle)
2θ (°), I/Imax
15.98, 85
17.11, 100
20.80, 87
21.77, 69
22.42, 85
27.81, 77


[6]
# VNi3Pd4
Computed PXRD pattern, Cu Kα (weighted mean of Kα1 and Kα2). Input: a structure optimized by DFT (GGA-PBE).

Structure:
Cell: 20.8323 2.6871 4.2889 Å, 90.00 93.36 90.00°
Fractional coordinates of all 16 atoms:
V (0.0000, 0.0000, 0.0000)
V (0.5000, 0.5000, 0.0000)
Ni (0.0000, 0.5000, 0.5000)
Ni (0.2055, 0.5000, 0.3913)
Ni (0.2945, 0.0000, 0.6087)
Ni (0.5000, 0.0000, 0.5000)
Ni (0.7055, 0.0000, 0.3913)
Ni (0.7945, 0.5000, 0.6087)
Pd (0.0984, 0.0000, 0.3547)
Pd (0.1870, 0.0000, 0.8894)
Pd (0.3130, 0.5000, 0.1106)
Pd (0.4016, 0.5000, 0.6453)
Pd (0.5984, 0.5000, 0.3547)
Pd (0.6870, 0.5000, 0.8894)
Pd (0.8130, 0.0000, 0.1106)
Pd (0.9016, 0.0000, 0.6453)

Peak list (6 most intense, 15 to 90 degrees two-theta, by angle)
2θ (°), I/Imax
22.92, 32
42.18, 42
43.52, 54
43.67, 32
44.80, 100
46.05, 50